The following is a simulated X-ray powder pattern of Dy3Pd8Pb2. It was derived from a crystal structure in Alexandria, relaxed with PBE, using Cu Ka.

Largest 10 diffraction maxima, low angle first, 2θ = 5–70°:
| 2θ (°) | I_rel | hkl |
| --- | --- | --- |
| 23.64 | 26 | 0 1 5 |
| 32.61 | 78 | 1 1 0 |
| 33.79 | 30 | 1 1 3 |
| 37.14 | 36 | 1 1 6 |
| 37.30 | 100 | 0 1 11 |
| 38.30 | 55 | 2 0 2 |
| 40.67 | 49 | 2 0 5 |
| 43.26 | 24 | 0 2 7 |
| 61.30 | 47 | 1 2 11 |
| 68.31 | 36 | 2 2 0 |

Structural model:
```
data_Dy3Pd8Pb2
_space_group_name_H-M_alt 'R -3 m'
_space_group_IT_number 166
_space_group_name_Hall '-R 3 2"'
_cell_length_a 5.4923
_cell_length_b 5.4923
_cell_length_c 30.7596
_cell_angle_alpha 90.00
_cell_angle_beta 90.00
_cell_angle_gamma 120.00
loop_
_atom_site_label
_atom_site_fract_x
_atom_site_fract_y
_atom_site_fract_z
Dy1 0.0000 0.0000 0.0000
Dy2 0.0000 0.0000 0.1908
Pd1 0.0000 0.0000 0.2808
Pd2 0.0057 0.5028 0.7741
Pb1 0.0000 0.0000 0.3683
```